1.
# NaNi2H3Se2O10
Simulated powder diffraction line list, Cu Kα, 1.54184 Å. Input: the GGA+U geometry in the Materials Project.
Intensities are scaled so that the largest is 100.

Main lines, by angle (2θ = 5–70°):
2theta  I (rel.)  h k l
12.8  47  0 0 1
17.7  91  1 1 0
25.8  100  2 0 -2
27.3  85  1 1 -2
29.8  84  2 0 1
30.9  50  0 2 1
33.1  43  3 1 -1
34.7  98  2 2 -1
35.2  36  1 1 2
54.1  52  4 2 -3

Structure:
Lattice parameters (Å, degrees): 8.982 6.386 7.614 90.00 115.01 90.00
Space group Cm (No. 8)
Inequivalent atoms, fractional coordinates:
Na (0.000, 0.000, 0.000) x2
Ni (0.248, 0.248, 0.502) x4
H (0.184, 0.000, 0.719) x2
H (0.308, 0.500, 0.275) x2
H (0.485, 0.500, 0.489) x2
Se (0.087, 0.500, 0.793) x2
Se (0.412, 0.000, 0.208) x2
O (0.029, 0.284, 0.250) x4
O (0.148, 0.000, 0.577) x2
O (0.185, 0.500, 0.642) x2
O (0.234, 0.500, 0.015) x2
O (0.265, 0.000, 0.987) x2
O (0.316, 0.000, 0.361) x2
O (0.347, 0.500, 0.418) x2
O (0.470, 0.216, 0.750) x4

---

2.
# NaV2P2H8O14
Simulated powder diffraction line list, Cu Kα, 1.54184 Å. Input: the GGA+U geometry in the Materials Project.
Intensities are scaled so that the largest is 100.

Main lines, by angle (2θ = 5–70°):
2theta  I (rel.)  h k l
13.4  100  0 0 2
19.8  14  0 1 -2
22.6  10  1 0 3
26.9  18  0 0 4
28.1  30  0 2 0
28.5  29  2 0 0
29.4  27  2 0 2
30.6  20  0 2 2
31.8  16  0 2 -2
45.1  13  1 3 1

Structure:
Lattice parameters (Å, degrees): 6.359 6.369 13.446 87.33 80.18 89.86
Space group P-1 (No. 2)
Inequivalent atoms, fractional coordinates:
Na (0.011, 0.414, 0.247) x2
V (0.239, 0.244, 0.548) x2
V (0.264, 0.759, 0.954) x2
P (0.249, 0.750, 0.502) x2
P (0.253, 0.252, 0.998) x2
H (0.016, 0.135, 0.744) x2
H (0.228, 0.020, 0.311) x2
H (0.241, 0.180, 0.771) x2
H (0.284, 0.080, 0.193) x2
H (0.323, 0.842, 0.715) x2
H (0.397, 0.616, 0.310) x2
H (0.431, 0.617, 0.190) x2
H (0.450, 0.651, 0.758) x2
O (0.033, 0.263, 0.069) x2
O (0.075, 0.777, 0.435) x2
O (0.145, 0.230, 0.726) x2
O (0.167, 0.052, 0.250) x2
O (0.211, 0.549, 0.572) x2
O (0.220, 0.748, 0.076) x2
O (0.249, 0.933, 0.574) x2
O (0.261, 0.067, 0.926) x2
O (0.294, 0.252, 0.426) x2
O (0.299, 0.454, 0.929) x2
O (0.326, 0.751, 0.775) x2
O (0.371, 0.536, 0.252) x2
O (0.419, 0.221, 0.070) x2
O (0.461, 0.741, 0.425) x2

---

3.
# NaV3H6S2O14
Simulated powder diffraction line list, Cu Kα, 1.54184 Å. Input: the GGA+U geometry in the Materials Project.
Intensities are scaled so that the largest is 100.

Main lines, by angle (2θ = 5–70°):
2theta  I (rel.)  h k l
15.5  19  -1 1 1
17.3  76  1 -1 1
28.3  52  1 -1 3
28.3  26  1 1 -3
28.7  100  0 2 0
34.9  18  2 -2 2
39.3  35  -3 2 2
45.3  35  2 -2 4
49.2  36  2 2 -2
61.2  16  -2 4 4

Structure:
Lattice parameters (Å, degrees): 7.136 7.148 12.664 92.41 105.06 117.59
Space group P1 (No. 1)
Inequivalent atoms, fractional coordinates:
Na (0.000, 0.000, 0.000) x1
Na (0.009, 0.501, 0.499) x1
V (0.004, 0.501, 0.000) x1
V (0.005, 0.251, 0.250) x1
V (0.005, 0.751, 0.750) x1
V (0.006, 0.001, 0.500) x1
V (0.505, 0.001, 0.000) x1
V (0.505, 0.502, 0.500) x1
H (0.290, 0.455, 0.151) x1
H (0.291, 0.952, 0.650) x1
H (0.302, 0.844, 0.142) x1
H (0.303, 0.343, 0.643) x1
H (0.304, 0.136, 0.850) x1
H (0.304, 0.637, 0.352) x1
H (0.705, 0.367, 0.650) x1
H (0.705, 0.866, 0.149) x1
H (0.706, 0.159, 0.857) x1
H (0.708, 0.658, 0.358) x1
H (0.719, 0.048, 0.349) x1
H (0.719, 0.551, 0.850) x1
S (0.314, 0.536, 0.845) x1
S (0.316, 0.038, 0.345) x1
S (0.694, 0.464, 0.155) x1
S (0.696, 0.966, 0.655) x1
O (0.127, 0.392, 0.131) x1
O (0.128, 0.891, 0.630) x1
O (0.174, 0.579, 0.749) x1
O (0.176, 0.080, 0.249) x1
O (0.176, 0.415, 0.915) x1
O (0.178, 0.917, 0.415) x1
O (0.263, 0.303, 0.561) x1
O (0.263, 0.494, 0.372) x1
O (0.263, 0.803, 0.061) x1
O (0.265, 0.994, 0.870) x1
O (0.400, 0.407, 0.802) x1
O (0.403, 0.910, 0.302) x1
O (0.503, 0.255, 0.086) x1
O (0.504, 0.757, 0.586) x1
O (0.506, 0.745, 0.913) x1
O (0.507, 0.247, 0.414) x1
O (0.607, 0.593, 0.198) x1
O (0.610, 0.095, 0.698) x1
O (0.745, 0.509, 0.630) x1
O (0.746, 0.008, 0.128) x1
O (0.747, 0.199, 0.939) x1
O (0.747, 0.700, 0.440) x1
O (0.831, 0.586, 0.085) x1
O (0.833, 0.087, 0.585) x1
O (0.834, 0.423, 0.251) x1
O (0.836, 0.924, 0.751) x1
O (0.882, 0.111, 0.370) x1
O (0.882, 0.612, 0.870) x1

---

4.
# NaV3H6S2O14
Simulated powder diffraction line list, Cu Kα, 1.54184 Å. Input: the GGA+U geometry in the Materials Project.
Intensities are scaled so that the largest is 100.

Main lines, by angle (2θ = 5–70°):
2theta  I (rel.)  h k l
15.5  19  0 0 3
17.3  76  0 1 2
28.3  79  0 2 1
28.7  100  1 1 3
34.9  18  0 2 4
39.5  35  1 0 7
45.3  36  0 3 3
49.2  36  2 2 0
59.5  17  2 2 6
61.4  23  0 2 10

Structure:
Lattice parameters (Å, degrees): 7.4132 7.4132 17.1071 90.00 90.00 120.00
Space group R-3m (No. 166, hexagonal axes)
Inequivalent atoms, fractional coordinates:
Na (0.0000, 0.0000, 0.0000) x3
V (0.0000, 0.5000, 0.5000) x9
H (0.0569, 0.5285, 0.2280) x18
S (0.0000, 0.0000, 0.3099) x6
O (0.0000, 0.0000, 0.3962) x6
O (0.0796, 0.5398, 0.7984) x18
O (0.1099, 0.2197, 0.7189) x18

---

5.
# Na3V3H6O7
Simulated powder diffraction line list, Cu Kα, 1.54184 Å. Input: the GGA+U geometry in the Materials Project.
Intensities are scaled so that the largest is 100.

Main lines, by angle (2θ = 5–70°):
2theta  I (rel.)  h k l
10.3  96  0 0 1
13.6  100  0 1 0
15.9  23  0 1 1
16.0  27  1 1 1
18.2  16  0 1 -1
23.1  24  1 -1 0
25.1  15  1 2 1
25.5  14  1 2 0
29.9  14  1 2 -1
46.3  12  3 3 2

Structure:
Lattice parameters (Å, degrees): 7.007 7.237 8.936 77.21 76.47 65.45
Space group P1 (No. 1)
Inequivalent atoms, fractional coordinates:
Na (0.000, 0.000, 0.000) x1
Na (0.154, 0.407, 0.133) x1
Na (0.401, 0.534, 0.562) x1
V (0.388, 0.634, 0.878) x1
V (0.565, 0.673, 0.143) x1
V (0.892, 0.573, 0.882) x1
H (0.293, 0.550, 0.326) x1
H (0.387, 0.309, 0.351) x1
H (0.598, 0.194, 0.118) x1
H (0.715, 0.194, 0.390) x1
H (0.761, 0.284, 0.149) x1
H (0.826, 0.314, 0.432) x1
O (0.199, 0.539, 0.844) x1
O (0.250, 0.425, 0.355) x1
O (0.389, 0.724, 0.317) x1
O (0.559, 0.754, 0.921) x1
O (0.712, 0.152, 0.179) x1
O (0.717, 0.258, 0.475) x1
O (0.831, 0.444, 0.116) x1